1.
# PmNi4B4
Computed powder X-ray diffraction pattern, Cu Kα (λ = 1.5418 Å). Input: DFT lattice parameters and positions (PBE).
Neutral-atom scattering factors, no anomalous dispersion.

Cell and atoms:
Unit cell a=5.0853 b=5.0853 c=7.1384 alpha=90.00 beta=90.00 gamma=90.00
Space group P4_2/nmc (No. 137, origin choice 2)
Unique sites:
Pm  0.2500  0.7500  0.2500
Ni  0.0007  0.7500  0.6163
B  0.0803  0.2500  0.0890

Principal peaks in the range 2θ from 5° to 70°, low angle first:
(hkl)  2θ/deg  intensity
1 1 0  24.76  29
1 0 2  30.60  23
2 0 0  35.30  16
1 1 2  35.44  32
2 0 1  37.55  35
2 1 1  41.68  100
1 0 3  41.92  57
2 0 2  43.71  16
2 1 2  47.40  19
2 2 2  57.35  19
3 2 1  67.72  21
3 0 3  67.89  15

=====

2.
# Pm2Ni5B4
Computed powder X-ray diffraction pattern, Cu Kα (λ = 1.5418 Å). Input: DFT lattice parameters and positions (PBE).
Neutral-atom scattering factors, no anomalous dispersion.

Cell and atoms:
Unit cell a=9.8096 b=5.0853 c=6.7773 alpha=90.00 beta=126.08 gamma=90.00
Space group C2/m (No. 12)
Unique sites:
Pm  0.2252  0.0000  0.1496
Ni  0.0000  0.5000  0.0000
Ni  0.0748  0.2479  0.3717
B  0.0998  0.0000  0.6421
B  0.2219  0.5000  0.3406

Principal peaks in the range 2θ from 5° to 70°, low angle first:
(hkl)  2θ/deg  intensity
1 1 -1  21.91  41
1 1 1  30.32  48
3 1 -1  32.75  100
2 0 1  34.89  43
3 1 -2  35.03  37
4 0 -2  37.17  33
0 2 1  39.06  57
2 0 -3  40.43  57
2 2 0  42.23  40
2 2 -2  44.65  86
6 0 -1  61.76  24
4 2 1  69.83  23

=====

3.
# PrNiB4
Computed powder X-ray diffraction pattern, Cu Kα (λ = 1.5418 Å). Input: DFT lattice parameters and positions (PBE).
Neutral-atom scattering factors, no anomalous dispersion.

Cell and atoms:
Unit cell a=7.7204 b=7.7204 c=8.6641 alpha=90.00 beta=90.00 gamma=90.00
Space group I4/mmm (No. 139)
Unique sites:
Pr  0.0000  0.0000  0.2056
Pr  0.0000  0.5000  0.2500
Ni  0.0000  0.2285  0.5000
B  0.1124  0.2761  0.0000
B  0.2355  0.2355  0.3486

Principal peaks in the range 2θ from 5° to 70°, low angle first:
(hkl)  2θ/deg  intensity
2 0 0  23.04  66
2 1 1  27.82  21
2 0 2  31.03  79
2 2 0  32.81  17
1 0 3  33.12  27
2 2 2  39.00  100
0 0 4  41.70  15
3 2 1  43.54  15
4 0 0  47.08  33
2 0 4  48.17  16
4 2 0  53.05  18
4 2 2  57.46  24

=====

4.
# PrNiB
Computed powder X-ray diffraction pattern, Cu Kα (λ = 1.5418 Å). Input: DFT lattice parameters and positions (PBE).
Neutral-atom scattering factors, no anomalous dispersion.

Cell and atoms:
Unit cell a=3.3404 b=5.3856 c=5.9954 alpha=111.57 beta=106.13 gamma=90.03
Space group P-1 (No. 2)
Unique sites:
Pr  0.1083  0.3045  0.2179
Ni  0.3845  0.2370  0.7703
B  0.2251  0.9108  0.4496

Principal peaks in the range 2θ from 5° to 70°, low angle first:
(hkl)  2θ/deg  intensity
1 0 0  28.00  20
1 1 -1  31.53  40
0 2 -1  33.42  30
0 0 2  33.69  56
1 1 0  35.14  76
0 2 0  36.11  39
1 1 -2  36.63  100
0 2 -2  38.97  19
1 1 1  45.62  32
2 0 -1  54.98  18
1 3 -2  58.56  20
1 1 -4  63.17  21

=====

5.
# Pr2NiB10
Computed powder X-ray diffraction pattern, Cu Kα (λ = 1.5418 Å). Input: DFT lattice parameters and positions (PBE).
Neutral-atom scattering factors, no anomalous dispersion.

Cell and atoms:
Unit cell a=5.6586 b=11.2647 c=4.2078 alpha=90.00 beta=90.00 gamma=90.00
Space group Pbam (No. 55)
Unique sites:
Pr  0.1901  0.1366  0.0000
Ni  0.0000  0.5000  0.5000
B  0.0350  0.3122  0.5000
B  0.1260  0.9584  0.5000
B  0.1567  0.8026  0.5000
B  0.2014  0.3863  0.2004

Principal peaks in the range 2θ from 5° to 70°, low angle first:
(hkl)  2θ/deg  intensity
0 0 1  21.11  26
1 2 0  22.27  66
1 1 1  27.58  28
1 2 1  30.88  100
0 4 0  31.77  16
2 0 1  38.34  32
0 4 1  38.46  49
2 1 1  39.19  19
0 0 2  42.99  19
2 4 0  45.44  19
1 2 2  48.94  38
3 3 1  59.04  15

=====

6.
# PrNi4B
Computed powder X-ray diffraction pattern, Cu Kα (λ = 1.5418 Å). Input: DFT lattice parameters and positions (PBE).
Neutral-atom scattering factors, no anomalous dispersion.

Cell and atoms:
Unit cell a=5.0848 b=5.0848 c=7.0010 alpha=90.00 beta=90.00 gamma=120.00
Space group P6/mmm (No. 191)
Unique sites:
Pr  0.0000  0.0000  0.0000
Pr  0.0000  0.0000  0.5000
Ni  0.0000  0.5000  0.2058
Ni  0.3333  0.6667  0.5000
B  0.3333  0.6667  0.0000

Principal peaks in the range 2θ from 5° to 70°, low angle first:
(hkl)  2θ/deg  intensity
1 0 2  32.68  82
1 1 0  35.30  29
1 1 1  37.64  12
0 0 3  38.58  14
2 0 0  40.99  77
2 0 1  43.07  10
1 1 2  44.02  100
0 0 4  52.27  12
2 1 2  61.71  26
1 1 4  64.65  15
2 0 4  68.48  13
3 0 2  69.42  28

=====

7.
# NiB2Pt4
Computed powder X-ray diffraction pattern, Cu Kα (λ = 1.5418 Å). Input: DFT lattice parameters and positions (PBE).
Neutral-atom scattering factors, no anomalous dispersion.

Cell and atoms:
Unit cell a=6.6038 b=8.9620 c=7.3032 alpha=90.00 beta=116.17 gamma=90.00
Space group Cc (No. 9)
Unique sites:
Ni  0.0000  0.1267  0.0000
B  0.2894  0.2643  0.8578
B  0.4346  0.0161  0.6387
Pt  0.0769  0.2931  0.3025
Pt  0.2413  0.0235  0.8222
Pt  0.2770  0.4574  0.7010
Pt  0.4185  0.2245  0.1760

Principal peaks in the range 2θ from 5° to 70°, low angle first:
(hkl)  2θ/deg  intensity
0 2 1  24.06  34
0 0 2  27.21  91
1 3 0  33.63  32
2 2 0  36.35  100
2 2 -2  36.61  99
1 1 2  38.12  29
1 1 -3  38.43  32
1 3 1  38.89  76
1 3 -2  39.08  77
0 4 0  40.25  28
3 1 -1  42.78  48
3 1 -2  42.95  48

=====

8.
# Y3NiB2Pt9
Computed powder X-ray diffraction pattern, Cu Kα (λ = 1.5418 Å). Input: DFT lattice parameters and positions (PBE).
Neutral-atom scattering factors, no anomalous dispersion.

Cell and atoms:
Unit cell a=5.7095 b=5.7095 c=9.1974 alpha=90.00 beta=90.00 gamma=120.00
Space group P-3m1 (No. 164)
Unique sites:
Y  0.0000  0.0000  0.0000
Y  0.3333  0.6667  0.5945
Ni  0.0000  0.0000  0.5000
B  0.3333  0.6667  0.1516
Pt  0.0000  0.5000  0.0000
Pt  0.1627  0.3254  0.2875

Principal peaks in the range 2θ from 5° to 70°, low angle first:
(hkl)  2θ/deg  intensity
1 0 1  20.39  20
1 0 2  26.47  10
0 0 3  29.13  35
0 1 3  34.42  11
0 2 1  37.68  100
0 0 4  39.18  14
2 0 2  41.47  81
0 1 4  43.35  12
2 0 3  47.23  13
0 2 4  54.50  14
0 2 5  62.98  17
2 2 0  65.38  25

=====

9.
# Pu2Ni3B
Computed powder X-ray diffraction pattern, Cu Kα (λ = 1.5418 Å). Input: DFT lattice parameters and positions (PBE).
Neutral-atom scattering factors, no anomalous dispersion.

Cell and atoms:
Unit cell a=5.0367 b=5.0367 c=11.4872 alpha=90.00 beta=90.00 gamma=120.00
Space group R-3m (No. 166, hexagonal axes)
Unique sites:
Pu  0.0000  0.0000  0.1235
Ni  0.0000  0.5000  0.0000
B  0.0000  0.0000  0.5000

Principal peaks in the range 2θ from 5° to 70°, low angle first:
(hkl)  2θ/deg  intensity
1 0 1  21.79  93
1 1 0  35.65  70
1 0 4  37.50  100
0 2 1  42.17  71
1 1 3  42.99  77
0 1 5  44.58  39
0 2 4  52.70  11
2 1 1  56.38  16
3 0 0  64.04  14
2 1 4  65.26  41
0 1 8  68.84  11
3 0 3  69.10  19

=====

10.
# NiB4Rh5
Computed powder X-ray diffraction pattern, Cu Kα (λ = 1.5418 Å). Input: DFT lattice parameters and positions (PBE).
Neutral-atom scattering factors, no anomalous dispersion.

Cell and atoms:
Unit cell a=14.1288 b=3.0456 c=5.7082 alpha=90.00 beta=113.71 gamma=90.00
Space group C2/m (No. 12)
Unique sites:
Ni  0.0000  0.0000  0.0000
B  0.9999  0.5000  0.2426
B  0.2123  0.0000  0.2127
Rh  0.0000  0.0000  0.5000
Rh  0.1601  0.5000  0.4046
Rh  0.1600  0.5000  0.9182

Principal peaks in the range 2θ from 5° to 70°, low angle first:
(hkl)  2θ/deg  intensity
2 0 -2  31.34  14
0 0 2  34.34  37
3 1 0  36.11  100
6 0 0  41.90  36
6 0 -2  42.23  37
3 1 -2  44.04  61
1 1 2  48.55  16
3 1 2  56.74  17
0 2 0  60.83  13
4 0 -4  65.40  10
5 1 2  67.74  11
9 1 -2  67.85  11

=====

11.
# Ni4Sn3B2Rh3
Computed powder X-ray diffraction pattern, Cu Kα (λ = 1.5418 Å). Input: DFT lattice parameters and positions (PBE).
Neutral-atom scattering factors, no anomalous dispersion.

Cell and atoms:
Unit cell a=4.1011 b=21.5625 c=3.9037 alpha=90.00 beta=90.00 gamma=90.00
Space group Imm2 (No. 44)
Unique sites:
Ni  0.0000  0.1106  0.0000
Ni  0.0000  0.1856  0.5069
Sn  0.0000  0.3046  0.4937
Sn  0.0000  0.5000  0.4476
B  0.0000  0.0944  0.5060
Rh  0.0000  0.0000  0.3872
Rh  0.0000  0.4045  0.9905

Principal peaks in the range 2θ from 5° to 70°, low angle first:
(hkl)  2θ/deg  intensity
0 2 0  8.20  9
0 5 1  30.90  16
1 0 1  31.64  16
1 2 1  32.74  17
1 4 1  35.86  86
1 6 1  40.60  100
0 10 0  41.90  39
2 0 0  44.17  41
0 0 2  46.53  42
2 10 0  62.51  23
0 10 2  64.38  18
2 0 2  66.09  20

=====

12.
# Zn3Ni4B2Rh3
Computed powder X-ray diffraction pattern, Cu Kα (λ = 1.5418 Å). Input: DFT lattice parameters and positions (PBE).
Neutral-atom scattering factors, no anomalous dispersion.

Cell and atoms:
Unit cell a=3.8163 b=4.0239 c=20.3690 alpha=90.00 beta=90.00 gamma=90.00
Space group Immm (No. 71)
Unique sites:
Zn  0.0000  0.0000  0.0000
Zn  0.0000  0.0000  0.1837
Ni  0.0000  0.0000  0.3026
Ni  0.0000  0.5000  0.0983
B  0.0000  0.0000  0.3971
Rh  0.0000  0.0000  0.5000
Rh  0.0000  0.5000  0.4020

Principal peaks in the range 2θ from 5° to 70°, low angle first:
(hkl)  2θ/deg  intensity
0 0 2  8.68  28
0 0 4  17.42  5
1 0 1  23.72  6
1 1 2  33.54  8
1 1 4  36.95  76
1 1 6  42.11  100
0 0 10  44.48  29
0 2 0  45.06  34
2 0 0  47.66  29
0 2 10  65.17  18
2 0 10  67.23  16
2 2 0  67.67  19